Structure and computed powder XRD pattern of LiV6O11F (a PBE+U-relaxed structure; Cu Kα X-rays).

Largest 12 diffraction maxima, sorted by position, 2θ = 10–80°:
- 22.60°, intensity 100, (2 0 0)
- 27.84°, intensity 90, (0 2 0)
- 36.01°, intensity 58, (1 1 3)
- 38.53°, intensity 14, (3 1 1)
- 38.62°, intensity 14, (2 0 -3)
- 38.81°, intensity 16, (2 0 3)
- 48.94°, intensity 14, (3 1 -3)
- 49.17°, intensity 13, (3 1 3)
- 54.73°, intensity 42, (1 3 3)
- 56.51°, intensity 13, (4 0 -3)
- 57.52°, intensity 13, (0 4 0)
- 64.64°, intensity 12, (0 0 6)

Cell and atoms:
Cell lengths 7.867, 6.409, 8.651 Å; angles 90.00, 90.28, 90.00 degrees
Space group Cm (No. 8)
Inequivalent atoms, fractional coordinates:
1 Li 0.000 0.000 0.000 (multiplicity 2)
2 V 0.223 0.500 0.823 (multiplicity 2)
3 V 0.228 0.500 0.177 (multiplicity 2)
4 V 0.286 0.000 0.676 (multiplicity 2)
5 V 0.295 0.000 0.330 (multiplicity 2)
6 V 0.327 0.000 0.000 (multiplicity 2)
7 V 0.383 0.500 0.500 (multiplicity 2)
8 O 0.004 0.500 0.175 (multiplicity 2)
9 O 0.111 0.000 0.505 (multiplicity 2)
10 O 0.143 0.000 0.827 (multiplicity 2)
11 O 0.154 0.000 0.157 (multiplicity 2)
12 O 0.301 0.317 0.997 (multiplicity 4)
13 O 0.304 0.312 0.665 (multiplicity 4)
14 O 0.308 0.313 0.337 (multiplicity 4)
15 O 0.496 0.000 0.823 (multiplicity 2)
16 F 0.460 0.000 0.510 (multiplicity 2)